Entry 1:
Starting from a DFT-relaxed cell (PBE, Alexandria), the powder XRD pattern of Hf2Al5Ni3 was calculated for CuKα.

The 6 most intense peaks (2θ from 5° to 70°), by angle:
2θ/deg  d/Å  I_rel
20.5  4.340  31.3
24.9  3.583  41.8
37.5  2.401  74.2
37.8  2.378  100.0
40.5  2.225  35.7
45.1  2.009  34.0

Atomic structure:
```
data_Hf2Al5Ni3
_chemical_formula_sum 'Hf4 Al10 Ni6'
_cell_length_a 12.048
_cell_length_b 12.048
_cell_length_c 6.356
_cell_angle_alpha 90.00
_cell_angle_beta 90.00
_cell_angle_gamma 160.80
_space_group_name_H-M_alt 'P 1'
_space_group_IT_number 1
loop_
_space_group_symop_operation_xyz
'x,y,z'
loop_
_atom_site_label
_atom_site_type_symbol
_atom_site_fract_x
_atom_site_fract_y
_atom_site_fract_z
_atom_site_occupancy
Hf1 Hf 0.022 0.978 0.500 1
Hf2 Hf 0.327 0.673 0.546 1
Hf3 Hf 0.673 0.327 0.046 1
Hf4 Hf 0.978 0.022 0.000 1
Al1 Al 0.098 0.902 0.863 1
Al2 Al 0.208 0.792 0.348 1
Al3 Al 0.212 0.788 0.759 1
Al4 Al 0.376 0.624 0.017 1
Al5 Al 0.447 0.553 0.668 1
Al6 Al 0.553 0.447 0.168 1
Al7 Al 0.624 0.376 0.517 1
Al8 Al 0.788 0.212 0.259 1
Al9 Al 0.792 0.208 0.848 1
Al10 Al 0.902 0.098 0.363 1
Ni1 Ni 0.109 0.891 0.249 1
Ni2 Ni 0.274 0.726 0.058 1
Ni3 Ni 0.453 0.547 0.278 1
Ni4 Ni 0.547 0.453 0.778 1
Ni5 Ni 0.726 0.274 0.558 1
Ni6 Ni 0.891 0.109 0.749 1
```

=====

Entry 2:
Starting from a DFT-relaxed cell (PBE, Alexandria), the powder XRD pattern of HfAlNi6 was calculated for CuKα.

The 6 most intense peaks (2θ from 5° to 70°), by angle:
2θ/deg  d/Å  I_rel
19.7  4.507  25.5
29.2  3.058  15.5
40.0  2.253  29.0
43.5  2.082  25.6
45.8  1.982  100.0
60.5  1.529  16.5

Atomic structure:
```
data_HfAlNi6
_chemical_formula_sum 'Hf1 Al1 Ni6'
_cell_length_a 5.204
_cell_length_b 5.204
_cell_length_c 4.164
_cell_angle_alpha 90.00
_cell_angle_beta 90.00
_cell_angle_gamma 120.00
_space_group_name_H-M_alt 'P 1'
_space_group_IT_number 1
loop_
_space_group_symop_operation_xyz
'x,y,z'
loop_
_atom_site_label
_atom_site_type_symbol
_atom_site_fract_x
_atom_site_fract_y
_atom_site_fract_z
_atom_site_occupancy
Hf1 Hf 0.000 0.000 0.000 1
Al1 Al 0.667 0.333 0.500 1
Ni1 Ni 0.004 0.502 0.000 1
Ni2 Ni 0.176 0.351 0.500 1
Ni3 Ni 0.176 0.824 0.500 1
Ni4 Ni 0.498 0.502 0.000 1
Ni5 Ni 0.498 0.996 0.000 1
Ni6 Ni 0.649 0.824 0.500 1
```